Calculated powder diffraction line list
Compound: Pm12TmTh7
Radiation: a wavelength of 1.5418 Å
Structure: a structure optimized by DFT (GGA-PBE)
Neutral-atom scattering factors, no anomalous dispersion.

```
data_Pm12TmTh7
_chemical_formula_sum 'Pm24 Tm2 Th14'
_space_group_name_H-M_alt 'I m -3'
_space_group_IT_number 204
_space_group_name_Hall '-I 2 2 3'
_cell_length_a 11.5879
_cell_length_b 11.5879
_cell_length_c 11.5879
_cell_angle_alpha 90.00
_cell_angle_beta 90.00
_cell_angle_gamma 90.00
loop_
_atom_site_label
_atom_site_fract_x
_atom_site_fract_y
_atom_site_fract_z
Pm1 0.0000 0.3003 0.2258
Tm1 0.0000 0.0000 0.0000
Th1 0.0000 0.0000 0.5000
Th2 0.2500 0.2500 0.2500
```

Top 10 peaks for 2θ = 10–90°, in order of falling intensity:
| index | 2θ/deg | intensity |
| --- | --- | --- |
| 4 0 0 | 30.87 | 100 |
| 2 2 0 | 21.69 | 69 |
| 4 2 2 | 38.04 | 68 |
| 4 4 0 | 44.21 | 55 |
| 2 2 2 | 26.65 | 37 |
| 6 4 2 | 59.72 | 37 |
| 8 2 2 | 68.74 | 34 |
| 8 2 6 | 85.45 | 30 |
| 3 2 1 | 28.83 | 22 |
| 3 0 1 | 24.29 | 22 |



Calculated powder diffraction line list
Compound: Pm12Tm5Th
Radiation: a wavelength of 1.5418 Å
Structure: a structure optimized by DFT (GGA-PBE)
Neutral-atom scattering factors, no anomalous dispersion.

```
data_Pm12Tm5Th
_chemical_formula_sum 'Pm24 Tm10 Th2'
_space_group_name_H-M_alt 'C 1 2/m 1'
_space_group_IT_number 12
_cell_length_a 12.1952
_cell_length_b 16.8738
_cell_length_c 5.7927
_cell_angle_alpha 90.00
_cell_angle_beta 90.21
_cell_angle_gamma 90.00
loop_
_space_group_symop_operation_xyz
'x,y,z'
'-x,-y,-z'
'-x,y,-z'
'x,-y,z'
'x+1/2,y+1/2,z'
'-x+1/2,-y+1/2,-z'
'-x+1/2,y+1/2,-z'
'x+1/2,-y+1/2,z'
loop_
_atom_site_label
_atom_site_fract_x
_atom_site_fract_y
_atom_site_fract_z
Pm1 0.1481 0.1778 0.0051
Pm2 0.1492 0.3204 0.4968
Pm3 0.1973 0.5000 0.0527
Pm4 0.2011 0.0000 0.4438
Tm1 0.0000 0.1362 0.5000
Tm2 0.0000 0.3631 0.0000
Tm3 0.0000 0.5000 0.5000
Th1 0.0000 0.0000 0.0000
```

Top 10 peaks for 2θ = 10–90°, in order of falling intensity:
| index | 2θ/deg | intensity |
| --- | --- | --- |
| 3 3 1 | 31.23 | 100 |
| 0 0 2 | 30.87 | 28 |
| 0 6 0 | 31.82 | 19 |
| 1 5 -1 | 31.55 | 16 |
| 0 6 2 | 44.93 | 13 |
| 3 3 -3 | 55.07 | 11 |
| 6 0 0 | 44.57 | 10 |
| 3 3 3 | 55.22 | 9 |
| 6 0 2 | 55.33 | 8 |
| 3 9 1 | 56.32 | 8 |



Calculated powder diffraction line list
Compound: PmTm7Th3
Radiation: a wavelength of 1.5418 Å
Structure: a structure optimized by DFT (GGA-PBE)
Neutral-atom scattering factors, no anomalous dispersion.

```
data_PmTm7Th3
_chemical_formula_sum 'Pm1 Tm7 Th3'
_space_group_name_H-M_alt 'P 3 m 1'
_space_group_IT_number 156
_cell_length_a 7.0163
_cell_length_b 7.0163
_cell_length_c 8.4881
_cell_angle_alpha 90.00
_cell_angle_beta 90.00
_cell_angle_gamma 120.00
loop_
_space_group_symop_operation_xyz
'x,y,z'
'-y,x-y,z'
'-x+y,-x,z'
'-y,-x,z'
'-x+y,y,z'
'x,x-y,z'
loop_
_atom_site_label
_atom_site_fract_x
_atom_site_fract_y
_atom_site_fract_z
Pm1 0.0000 0.0000 0.0000
Tm1 0.0026 0.5013 0.0039
Tm2 0.3324 0.1662 0.3397
Tm3 0.3333 0.6667 0.3399
Th1 0.1679 0.3357 0.6694
```

Top 10 peaks for 2θ = 10–90°, in order of falling intensity:
| index | 2θ/deg | intensity |
| --- | --- | --- |
| 2 0 1 | 31.27 | 100 |
| 0 2 2 | 36.37 | 67 |
| 0 0 3 | 31.62 | 32 |
| 2 2 3 | 62.28 | 29 |
| 2 2 0 | 52.14 | 24 |
| 2 0 4 | 52.61 | 24 |
| 0 4 1 | 62.07 | 14 |
| 0 2 5 | 62.69 | 14 |
| 4 0 2 | 65.23 | 12 |
| 4 2 1 | 85.29 | 12 |



Calculated powder diffraction line list
Compound: Pm5Tm4Th2
Radiation: a wavelength of 1.5418 Å
Structure: a structure optimized by DFT (GGA-PBE)
Neutral-atom scattering factors, no anomalous dispersion.

```
data_Pm5Tm4Th2
_chemical_formula_sum 'Pm5 Tm4 Th2'
_space_group_name_H-M_alt 'P 1 2/m 1'
_space_group_IT_number 10
_cell_length_a 8.8125
_cell_length_b 3.5142
_cell_length_c 11.7812
_cell_angle_alpha 90.00
_cell_angle_beta 94.36
_cell_angle_gamma 90.00
loop_
_space_group_symop_operation_xyz
'x,y,z'
'-x,-y,-z'
'-x,y,-z'
'x,-y,z'
loop_
_atom_site_label
_atom_site_fract_x
_atom_site_fract_y
_atom_site_fract_z
Pm1 0.0000 0.0000 0.0000
Pm2 0.0713 0.0000 0.2925
Pm3 0.3098 0.0000 0.8394
Tm1 0.1988 0.5000 0.5464
Tm2 0.3368 0.5000 0.1098
Th1 0.4611 0.0000 0.3659
```

Top 10 peaks for 2θ = 10–90°, in order of falling intensity:
| index | 2θ/deg | intensity |
| --- | --- | --- |
| 3 0 -1 | 30.93 | 100 |
| 2 0 3 | 31.75 | 91 |
| 1 0 -4 | 31.37 | 63 |
| 2 1 0 | 32.63 | 33 |
| 2 1 1 | 33.90 | 28 |
| 1 1 1 | 28.60 | 24 |
| 0 1 3 | 34.29 | 22 |
| 1 2 -4 | 62.05 | 21 |
| 0 1 2 | 29.62 | 19 |
| 2 2 3 | 62.26 | 19 |



Calculated powder diffraction line list
Compound: Pm3Tm8Th
Radiation: a wavelength of 1.5418 Å
Structure: a structure optimized by DFT (GGA-PBE)
Neutral-atom scattering factors, no anomalous dispersion.

```
data_Pm3Tm8Th
_chemical_formula_sum 'Pm6 Tm16 Th2'
_space_group_name_H-M_alt 'I m m 2'
_space_group_IT_number 44
_cell_length_a 10.7825
_cell_length_b 11.2971
_cell_length_c 6.2399
_cell_angle_alpha 90.00
_cell_angle_beta 90.00
_cell_angle_gamma 90.00
loop_
_space_group_symop_operation_xyz
'x,y,z'
'-x,-y,z'
'-x,y,z'
'x,-y,z'
'x+1/2,y+1/2,z+1/2'
'-x+1/2,-y+1/2,z+1/2'
'-x+1/2,y+1/2,z+1/2'
'x+1/2,-y+1/2,z+1/2'
loop_
_atom_site_label
_atom_site_fract_x
_atom_site_fract_y
_atom_site_fract_z
Pm1 0.0000 0.0000 0.0000
Pm2 0.0000 0.2503 0.3356
Tm1 0.1650 0.2508 0.8406
Tm2 0.1671 0.5000 0.5100
Tm3 0.1715 0.0000 0.5079
Th1 0.0000 0.5000 0.9995
```

Top 10 peaks for 2θ = 10–90°, in order of falling intensity:
| index | 2θ/deg | intensity |
| --- | --- | --- |
| 3 2 1 | 32.82 | 100 |
| 0 4 0 | 31.68 | 24 |
| 0 0 2 | 28.65 | 24 |
| 6 4 0 | 61.07 | 23 |
| 3 6 1 | 57.16 | 21 |
| 6 0 0 | 50.74 | 20 |
| 0 4 2 | 43.23 | 16 |
| 6 2 2 | 61.80 | 11 |
| 6 2 4 | 83.86 | 9 |
| 6 8 0 | 87.89 | 9 |



Calculated powder diffraction line list
Compound: Pm4Tm10Th
Radiation: a wavelength of 1.5418 Å
Structure: a structure optimized by DFT (GGA-PBE)
Neutral-atom scattering factors, no anomalous dispersion.

```
data_Pm4Tm10Th
_chemical_formula_sum 'Pm8 Tm20 Th2'
_space_group_name_H-M_alt 'I 4/m m m'
_space_group_IT_number 139
_space_group_name_Hall '-I 4 2'
_cell_length_a 11.1358
_cell_length_b 11.1358
_cell_length_c 7.9923
_cell_angle_alpha 90.00
_cell_angle_beta 90.00
_cell_angle_gamma 90.00
loop_
_atom_site_label
_atom_site_fract_x
_atom_site_fract_y
_atom_site_fract_z
Pm1 0.2252 0.2252 0.0000
Tm1 0.0000 0.2064 0.2967
Tm2 0.0000 0.5000 0.2500
Th1 0.0000 0.0000 0.0000
```

Top 10 peaks for 2θ = 10–90°, in order of falling intensity:
| index | 2θ/deg | intensity |
| --- | --- | --- |
| 4 0 0 | 32.15 | 100 |
| 2 2 2 | 31.91 | 95 |
| 3 2 1 | 31.04 | 66 |
| 3 3 2 | 41.15 | 57 |
| 3 1 2 | 33.93 | 51 |
| 2 0 2 | 27.47 | 42 |
| 1 0 3 | 34.62 | 38 |
| 7 3 2 | 68.31 | 34 |
| 5 0 3 | 53.64 | 33 |
| 3 2 5 | 65.78 | 30 |



Calculated powder diffraction line list
Compound: Pm11Tm9Th4
Radiation: a wavelength of 1.5418 Å
Structure: a structure optimized by DFT (GGA-PBE)
Neutral-atom scattering factors, no anomalous dispersion.

```
data_Pm11Tm9Th4
_chemical_formula_sum 'Pm22 Tm18 Th8'
_space_group_name_H-M_alt 'C m m m'
_space_group_IT_number 65
_space_group_name_Hall '-C 2 2'
_cell_length_a 16.8897
_cell_length_b 25.4978
_cell_length_c 3.6963
_cell_angle_alpha 90.00
_cell_angle_beta 90.00
_cell_angle_gamma 90.00
loop_
_atom_site_label
_atom_site_fract_x
_atom_site_fract_y
_atom_site_fract_z
Pm1 0.0000 0.0000 0.0000
Pm2 0.0000 0.1589 0.0000
Pm3 0.0000 0.3658 0.0000
Pm4 0.2115 0.5000 0.0000
Pm5 0.2269 0.1810 0.0000
Tm1 0.0000 0.5000 0.5000
Tm2 0.1014 0.2642 0.5000
Tm3 0.1381 0.0730 0.5000
Th1 0.1556 0.3991 0.5000
```

Top 10 peaks for 2θ = 10–90°, in order of falling intensity:
| index | 2θ/deg | intensity |
| --- | --- | --- |
| 4 6 0 | 29.84 | 100 |
| 0 6 1 | 32.08 | 90 |
| 4 0 1 | 32.19 | 71 |
| 4 6 2 | 58.71 | 25 |
| 3 3 1 | 30.79 | 23 |
| 0 0 2 | 49.31 | 19 |
| 3 5 1 | 33.90 | 16 |
| 6 10 1 | 54.53 | 15 |
| 6 2 0 | 32.58 | 13 |
| 6 4 0 | 34.84 | 12 |



Calculated powder diffraction line list
Compound: Pm5Tm12Th2
Radiation: a wavelength of 1.5418 Å
Structure: a structure optimized by DFT (GGA-PBE)
Neutral-atom scattering factors, no anomalous dispersion.

```
data_Pm5Tm12Th2
_chemical_formula_sum 'Pm5 Tm12 Th2'
_space_group_name_H-M_alt 'P -1'
_space_group_IT_number 2
_cell_length_a 6.2366
_cell_length_b 8.9092
_cell_length_c 11.0203
_cell_angle_alpha 87.29
_cell_angle_beta 81.93
_cell_angle_gamma 87.28
loop_
_space_group_symop_operation_xyz
'x,y,z'
'-x,-y,-z'
loop_
_atom_site_label
_atom_site_fract_x
_atom_site_fract_y
_atom_site_fract_z
Pm1 0.0000 0.0000 0.0000
Pm2 0.1234 0.9867 0.3481
Pm3 0.2691 0.5687 0.9440
Tm1 0.0222 0.3418 0.7665
Tm2 0.0763 0.6609 0.5535
Tm3 0.1961 0.2938 0.1583
Tm4 0.3507 0.8652 0.7452
Tm5 0.4036 0.1768 0.5486
Tm6 0.5004 0.1816 0.8815
Th1 0.4576 0.4936 0.3427
```

Top 10 peaks for 2θ = 10–90°, in order of falling intensity:
| index | 2θ/deg | intensity |
| --- | --- | --- |
| 0 2 3 | 31.14 | 100 |
| 1 1 -3 | 32.02 | 85 |
| 2 1 2 | 32.30 | 78 |
| 1 3 0 | 32.98 | 77 |
| -2 1 1 | 33.10 | 72 |
| 1 -2 2 | 29.45 | 64 |
| 1 5 3 | 57.19 | 33 |
| 3 2 -1 | 50.00 | 28 |
| 1 0 5 | 41.99 | 25 |
| -1 4 1 | 44.76 | 22 |



Calculated powder diffraction line list
Compound: Pm2Tm6Th
Radiation: a wavelength of 1.5418 Å
Structure: a structure optimized by DFT (GGA-PBE)
Neutral-atom scattering factors, no anomalous dispersion.

```
data_Pm2Tm6Th
_chemical_formula_sum 'Pm4 Tm12 Th2'
_space_group_name_H-M_alt 'C 1 2/m 1'
_space_group_IT_number 12
_cell_length_a 16.7936
_cell_length_b 9.7028
_cell_length_c 3.4509
_cell_angle_alpha 90.00
_cell_angle_beta 90.17
_cell_angle_gamma 90.00
loop_
_space_group_symop_operation_xyz
'x,y,z'
'-x,-y,-z'
'-x,y,-z'
'x,-y,z'
'x+1/2,y+1/2,z'
'-x+1/2,-y+1/2,-z'
'-x+1/2,y+1/2,-z'
'x+1/2,-y+1/2,z'
loop_
_atom_site_label
_atom_site_fract_x
_atom_site_fract_y
_atom_site_fract_z
Pm1 0.1666 0.0000 0.0000
Tm1 0.0000 0.1687 0.5000
Tm2 0.1657 0.3345 0.5000
Th1 0.0000 0.5000 0.0000
```

Top 10 peaks for 2θ = 10–90°, in order of falling intensity:
| index | 2θ/deg | intensity |
| --- | --- | --- |
| 6 0 0 | 31.96 | 100 |
| 3 1 1 | 31.83 | 91 |
| 9 3 0 | 56.96 | 31 |
| 6 4 -1 | 56.84 | 24 |
| 0 4 1 | 45.70 | 22 |
| 6 0 -2 | 63.25 | 14 |
| 6 0 2 | 63.38 | 14 |
| 12 0 0 | 66.83 | 12 |
| 6 2 1 | 45.80 | 11 |
| 3 7 1 | 75.88 | 10 |



Calculated powder diffraction line list
Compound: Pm2Tm12Th
Radiation: a wavelength of 1.5418 Å
Structure: a structure optimized by DFT (GGA-PBE)
Neutral-atom scattering factors, no anomalous dispersion.

```
data_Pm2Tm12Th
_chemical_formula_sum 'Pm2 Tm12 Th1'
_space_group_name_H-M_alt 'P 1 2/m 1'
_space_group_IT_number 10
_cell_length_a 3.5276
_cell_length_b 5.5535
_cell_length_c 23.9187
_cell_angle_alpha 90.00
_cell_angle_beta 94.14
_cell_angle_gamma 90.00
loop_
_space_group_symop_operation_xyz
'x,y,z'
'-x,-y,-z'
'-x,y,-z'
'x,-y,z'
loop_
_atom_site_label
_atom_site_fract_x
_atom_site_fract_y
_atom_site_fract_z
Pm1 0.1412 0.0000 0.2806
Tm1 0.0339 0.5000 0.0665
Tm2 0.0658 0.0000 0.1346
Tm3 0.2232 0.5000 0.4451
Tm4 0.2848 0.0000 0.5721
Tm5 0.3335 0.5000 0.6695
Tm6 0.4050 0.5000 0.8081
Th1 0.5000 0.0000 0.0000
```

Top 10 peaks for 2θ = 10–90°, in order of falling intensity:
| index | 2θ/deg | intensity |
| --- | --- | --- |
| 1 1 -3 | 31.47 | 100 |
| 0 2 0 | 32.24 | 78 |
| 0 1 7 | 30.78 | 66 |
| 1 1 4 | 34.55 | 54 |
| 0 1 8 | 34.13 | 41 |
| 1 0 5 | 32.72 | 41 |
| 1 2 5 | 46.60 | 31 |
| 1 1 -2 | 30.54 | 27 |
| 2 2 -1 | 62.37 | 24 |
| 2 0 -1 | 51.83 | 21 |



Calculated powder diffraction line list
Compound: Pm4Tm2Th
Radiation: a wavelength of 1.5418 Å
Structure: a structure optimized by DFT (GGA-PBE)
Neutral-atom scattering factors, no anomalous dispersion.

```
data_Pm4Tm2Th
_chemical_formula_sum 'Pm16 Tm8 Th4'
_space_group_name_H-M_alt 'I m m a'
_space_group_IT_number 74
_space_group_name_Hall '-I 2b 2'
_cell_length_a 6.7747
_cell_length_b 11.5412
_cell_length_c 12.0807
_cell_angle_alpha 90.00
_cell_angle_beta 90.00
_cell_angle_gamma 90.00
loop_
_atom_site_label
_atom_site_fract_x
_atom_site_fract_y
_atom_site_fract_z
Pm1 0.0000 0.0027 0.1556
Pm2 0.2233 0.2500 0.9872
Tm1 0.0000 0.0000 0.5000
Tm2 0.0000 0.2500 0.7210
Th1 0.2500 0.2500 0.2500
```

Top 10 peaks for 2θ = 10–90°, in order of falling intensity:
| index | 2θ/deg | intensity |
| --- | --- | --- |
| 1 2 3 | 30.11 | 100 |
| 0 4 0 | 30.99 | 87 |
| 2 2 0 | 30.60 | 87 |
| 0 2 4 | 33.48 | 52 |
| 2 1 1 | 28.44 | 43 |
| 2 1 3 | 35.49 | 35 |
| 0 0 4 | 29.58 | 26 |
| 2 3 1 | 36.10 | 25 |
| 1 0 3 | 25.74 | 22 |
| 4 4 0 | 63.71 | 22 |



Calculated powder diffraction line list
Compound: Pm4Tm4Th
Radiation: a wavelength of 1.5418 Å
Structure: a structure optimized by DFT (GGA-PBE)
Neutral-atom scattering factors, no anomalous dispersion.

```
data_Pm4Tm4Th
_chemical_formula_sum 'Pm8 Tm8 Th2'
_space_group_name_H-M_alt 'I 4/m m m'
_space_group_IT_number 139
_space_group_name_Hall '-I 4 2'
_cell_length_a 10.7455
_cell_length_b 10.7455
_cell_length_c 5.0226
_cell_angle_alpha 90.00
_cell_angle_beta 90.00
_cell_angle_gamma 90.00
loop_
_atom_site_label
_atom_site_fract_x
_atom_site_fract_y
_atom_site_fract_z
Pm1 0.0000 0.3287 0.0000
Tm1 0.1639 0.1639 0.5000
Th1 0.0000 0.0000 0.0000
```

Top 10 peaks for 2θ = 10–90°, in order of falling intensity:
| index | 2θ/deg | intensity |
| --- | --- | --- |
| 3 0 1 | 30.66 | 100 |
| 3 3 0 | 35.44 | 34 |
| 6 3 1 | 60.68 | 29 |
| 3 3 2 | 51.23 | 24 |
| 0 0 2 | 35.75 | 17 |
| 3 0 3 | 61.10 | 14 |
| 6 0 2 | 63.84 | 12 |
| 6 0 0 | 50.99 | 12 |
| 6 3 3 | 83.53 | 12 |
| 9 0 1 | 83.16 | 6 |